[1]
Starting from a crystal structure in Alexandria, relaxed with PBE, the powder diffractogram of KAcTc2O7 was computed for Cu Kα (weighted mean of Kα1 and Kα2).

Structure:
Cell: 11.566 11.566 11.566 Å, 160.29 160.29 28.02°
Positions (direct):
K (0.000, 0.000, 0.000)
Ac (0.250, 0.750, 0.500)
Tc (0.654, 0.154, 0.500)
Tc (0.846, 0.346, 0.500)
O (0.164, 0.164, 0.000)
O (0.329, 0.329, 0.000)
O (0.575, 0.075, 0.500)
O (0.671, 0.671, 0.000)
O (0.750, 0.250, 0.500)
O (0.836, 0.836, 0.000)
O (0.925, 0.425, 0.500)

Main lines, by intensity (10° ≤ 2θ ≤ 90°):
- 30.09°, I = 100
- 25.45°, I = 87
- 32.97°, I = 48
- 31.95°, I = 47
- 45.82°, I = 46
- 36.04°, I = 39
- 55.81°, I = 37
- 52.23°, I = 29
- 40.20°, I = 26
- 53.15°, I = 23

***

[2]
Starting from a crystal structure in Alexandria, relaxed with PBE, the powder diffractogram of Ti4P6PbO24 was computed for Cu Kα (weighted mean of Kα1 and Kα2).

Structure:
Cell: 9.058 9.058 9.058 Å, 55.95 55.95 55.95°
Positions (direct):
Ti (0.144, 0.144, 0.144)
Ti (0.350, 0.350, 0.350)
Ti (0.650, 0.650, 0.650)
Ti (0.856, 0.856, 0.856)
P (0.036, 0.749, 0.470)
P (0.251, 0.530, 0.964)
P (0.470, 0.036, 0.749)
P (0.530, 0.964, 0.251)
P (0.749, 0.470, 0.036)
P (0.964, 0.251, 0.530)
Pb (0.500, 0.500, 0.500)
O (0.017, 0.739, 0.655)
O (0.040, 0.945, 0.310)
O (0.055, 0.690, 0.960)
O (0.129, 0.285, 0.501)
O (0.227, 0.589, 0.409)
O (0.261, 0.345, 0.983)
O (0.285, 0.501, 0.129)
O (0.310, 0.040, 0.945)
O (0.345, 0.983, 0.261)
O (0.409, 0.227, 0.589)
O (0.411, 0.591, 0.773)
O (0.499, 0.871, 0.715)
O (0.501, 0.129, 0.285)
O (0.589, 0.409, 0.227)
O (0.591, 0.773, 0.411)
O (0.655, 0.017, 0.739)
O (0.690, 0.960, 0.055)
O (0.715, 0.499, 0.871)
O (0.739, 0.655, 0.017)
O (0.773, 0.411, 0.591)
O (0.871, 0.715, 0.499)
O (0.945, 0.310, 0.040)
O (0.960, 0.055, 0.690)
O (0.983, 0.261, 0.345)

Main lines, by intensity (10° ≤ 2θ ≤ 90°):
- 23.98°, I = 100
- 12.64°, I = 88
- 31.55°, I = 87
- 20.91°, I = 71
- 11.62°, I = 39
- 49.11°, I = 28
- 32.43°, I = 27
- 22.91°, I = 26
- 36.63°, I = 25
- 25.43°, I = 20

***

[3]
Starting from a crystal structure in Alexandria, relaxed with PBE, the powder diffractogram of DyMg2Ga2Pt was computed for Cu Kα (weighted mean of Kα1 and Kα2).

Structure:
Cell: 5.111 5.111 10.731 Å, 90.00 90.00 90.00°
Positions (direct):
Dy (0.000, 0.000, 0.000)
Dy (0.500, 0.500, 0.500)
Mg (0.000, 0.500, 0.250)
Mg (0.000, 0.500, 0.750)
Mg (0.500, 0.000, 0.250)
Mg (0.500, 0.000, 0.750)
Ga (0.000, 0.000, 0.278)
Ga (0.000, 0.000, 0.722)
Ga (0.500, 0.500, 0.222)
Ga (0.500, 0.500, 0.778)
Pt (0.000, 0.000, 0.500)
Pt (0.500, 0.500, 0.000)

Main lines, by intensity (10° ≤ 2θ ≤ 90°):
- 24.63°, I = 100
- 35.11°, I = 61
- 29.81°, I = 43
- 41.94°, I = 42
- 49.24°, I = 41
- 33.40°, I = 31
- 50.51°, I = 22
- 61.91°, I = 21
- 67.68°, I = 21
- 56.98°, I = 20